Record 1
YCrFe11: calculated powder diffractogram (λ = 1.5418 Å (Cu Kα)), based on a crystal structure in the Materials Project, relaxed with GGA-PBE.
Neutral-atom scattering factors, no anomalous dispersion.

Structural model:
```
data_YCrFe11
_cell_length_a 4.6668
_cell_length_b 8.4002
_cell_length_c 8.5135
_cell_angle_alpha 90.00
_cell_angle_beta 90.00
_cell_angle_gamma 90.00
_space_group_name_H-M_alt 'I m m 2'
_space_group_IT_number 44
_space_group_name_Hall 'I 2 -2'
loop_
_atom_site_label
_atom_site_fract_x
_atom_site_fract_y
_atom_site_fract_z
_atom_site_occupancy
Y1 0.0000 0.0000 0.0000 1
Cr1 0.0000 0.0000 0.3723 1
Fe1 0.0000 0.0000 0.6400 1
Fe2 0.0000 0.2755 0.5067 1
Fe3 0.0000 0.3588 0.0081 1
Fe4 0.0000 0.5000 0.2771 1
Fe5 0.0000 0.5000 0.7365 1
Fe6 0.2497 0.2484 0.2557 1
```

Top 6 peaks for 2θ from 15° to 90°, sorted by position:
d/Å	intensity	(hkl)
2.128	46.6	0 0 4
2.100	100.0	0 4 0
2.091	70.7	1 3 2
2.046	50.7	2 0 2
2.040	46.8	2 2 0
1.839	61.5	2 2 2

Record 2
YCr3Fe9: calculated powder diffractogram (λ = 1.5418 Å (Cu Kα)), based on a crystal structure in the Materials Project, relaxed with GGA-PBE.
Neutral-atom scattering factors, no anomalous dispersion.

Structural model:
```
data_YCr3Fe9
_cell_length_a 4.7047
_cell_length_b 8.3246
_cell_length_c 8.4104
_cell_angle_alpha 90.00
_cell_angle_beta 90.00
_cell_angle_gamma 90.00
_space_group_name_H-M_alt 'I m m 2'
_space_group_IT_number 44
_space_group_name_Hall 'I 2 -2'
loop_
_atom_site_label
_atom_site_fract_x
_atom_site_fract_y
_atom_site_fract_z
_atom_site_occupancy
Y1 0.0000 0.0000 0.0000 1
Cr1 0.0000 0.0000 0.6341 1
Cr2 0.0000 0.3687 0.9923 1
Fe1 0.0000 0.0000 0.3611 1
Fe2 0.0000 0.2736 0.4941 1
Fe3 0.0000 0.5000 0.2675 1
Fe4 0.0000 0.5000 0.7206 1
Fe5 0.2498 0.2476 0.7451 1
```

Top 6 peaks for 2θ from 15° to 90°, sorted by position:
d/Å	intensity	(hkl)
2.103	39.4	0 0 4
2.083	100.0	0 4 0
2.078	53.8	1 3 2
2.053	44.5	2 0 2
2.048	47.0	2 2 0
1.841	53.7	2 2 2

Record 3
ZrCrFe: calculated powder diffractogram (λ = 1.5418 Å (Cu Kα)), based on a crystal structure in the Materials Project, relaxed with GGA-PBE.
Neutral-atom scattering factors, no anomalous dispersion.

Structural model:
```
data_ZrCrFe
_cell_length_a 8.2908
_cell_length_b 4.9934
_cell_length_c 8.5798
_cell_angle_alpha 90.00
_cell_angle_beta 90.00
_cell_angle_gamma 90.00
_space_group_name_H-M_alt 'A m m 2'
_space_group_IT_number 38
_space_group_name_Hall 'A 2 -2'
loop_
_atom_site_label
_atom_site_fract_x
_atom_site_fract_y
_atom_site_fract_z
_atom_site_occupancy
Zr1 0.1864 0.0000 0.0000 1
Zr2 0.3108 0.0000 0.3332 1
Cr1 0.0000 0.0000 0.5010 1
Cr2 0.5000 0.0000 0.8366 1
Cr3 0.5000 0.2469 0.0827 1
Fe1 0.0000 0.2483 0.2530 1
Fe2 0.2478 0.0000 0.6660 1
```

Top 6 peaks for 2θ from 15° to 90°, sorted by position:
d/Å	intensity	(hkl)
2.482	37.8	0 1 3
2.326	100.0	3 0 2
2.139	41.1	2 2 0
2.129	77.5	2 1 3
2.088	51.5	1 2 2
2.075	39.7	4 0 0

Record 4
Zr2Cr3Fe: calculated powder diffractogram (λ = 1.5418 Å (Cu Kα)), based on a crystal structure in the Materials Project, relaxed with GGA-PBE.
Neutral-atom scattering factors, no anomalous dispersion.

Structural model:
```
data_Zr2Cr3Fe
_cell_length_a 8.1420
_cell_length_b 5.0879
_cell_length_c 8.6846
_cell_angle_alpha 90.00
_cell_angle_beta 90.00
_cell_angle_gamma 90.00
_space_group_name_H-M_alt 'A m m 2'
_space_group_IT_number 38
_space_group_name_Hall 'A 2 -2'
loop_
_atom_site_label
_atom_site_fract_x
_atom_site_fract_y
_atom_site_fract_z
_atom_site_occupancy
Zr1 0.1862 0.0000 0.0000 1
Zr2 0.3082 0.0000 0.6673 1
Cr1 0.0000 0.0000 0.5044 1
Cr2 0.2471 0.0000 0.3339 1
Cr3 0.5000 0.0000 0.1662 1
Cr4 0.5000 0.2472 0.9189 1
Fe1 0.0000 0.2477 0.7491 1
```

Top 6 peaks for 2θ from 15° to 90°, sorted by position:
d/Å	intensity	(hkl)
2.516	48.7	0 1 3
2.308	82.4	3 1 1
2.301	43.3	3 0 2
2.157	53.7	2 2 0
2.140	100.0	2 1 3
2.119	69.6	1 2 2

Record 5
ZrCrFe: calculated powder diffractogram (λ = 1.5418 Å (Cu Kα)), based on a crystal structure in the Materials Project, relaxed with GGA-PBE.
Neutral-atom scattering factors, no anomalous dispersion.

Structural model:
```
data_ZrCrFe
_cell_length_a 5.8552
_cell_length_b 5.8552
_cell_length_c 5.8552
_cell_angle_alpha 90.00
_cell_angle_beta 90.00
_cell_angle_gamma 90.00
_space_group_name_H-M_alt 'F -4 3 m'
_space_group_IT_number 216
_space_group_name_Hall 'F -4 2 3'
loop_
_atom_site_label
_atom_site_fract_x
_atom_site_fract_y
_atom_site_fract_z
_atom_site_occupancy
Zr1 0.0000 0.0000 0.0000 1
Cr1 0.2500 0.2500 0.7500 1
Fe1 0.0000 0.0000 0.5000 1
```

Top 6 peaks for 2θ from 15° to 90°, sorted by position:
d/Å	intensity	(hkl)
3.381	26.5	1 1 1
2.928	31.6	2 0 0
2.070	100.0	2 2 0
1.765	11.3	3 1 1
1.464	15.2	4 0 0
1.195	29.7	4 2 2

Record 6
ZrCrFe: calculated powder diffractogram (λ = 1.5418 Å (Cu Kα)), based on a crystal structure in the Materials Project, relaxed with GGA-PBE.
Neutral-atom scattering factors, no anomalous dispersion.

Structural model:
```
data_ZrCrFe
_cell_length_a 8.0948
_cell_length_b 4.9880
_cell_length_c 8.7466
_cell_angle_alpha 90.00
_cell_angle_beta 90.00
_cell_angle_gamma 90.00
_space_group_name_H-M_alt 'A m m 2'
_space_group_IT_number 38
_space_group_name_Hall 'A 2 -2'
loop_
_atom_site_label
_atom_site_fract_x
_atom_site_fract_y
_atom_site_fract_z
_atom_site_occupancy
Zr1 0.1866 0.0000 0.0000 1
Zr2 0.3108 0.0000 0.3323 1
Cr1 0.2534 0.0000 0.6657 1
Cr2 0.5000 0.2462 0.0807 1
Fe1 0.0000 0.0000 0.4969 1
Fe2 0.0000 0.2489 0.2497 1
Fe3 0.5000 0.0000 0.8370 1
```

Top 6 peaks for 2θ from 15° to 90°, sorted by position:
d/Å	intensity	(hkl)
2.517	44.9	0 1 3
2.296	40.8	3 0 2
2.290	83.6	3 1 1
2.137	100.0	2 1 3
2.123	46.8	2 2 0
2.093	68.5	1 2 2

Record 7
Cr3Ga4: calculated powder diffractogram (λ = 1.5418 Å (Cu Kα)), based on a crystal structure in the Materials Project, relaxed with GGA-PBE.
Neutral-atom scattering factors, no anomalous dispersion.

Structural model:
```
data_Cr3Ga4
_cell_length_a 10.0573
_cell_length_b 7.8567
_cell_length_c 7.8664
_cell_angle_alpha 90.00
_cell_angle_beta 104.80
_cell_angle_gamma 90.00
_space_group_name_H-M_alt 'C 1 2/m 1'
_space_group_IT_number 12
_space_group_name_Hall '-C 2y'
loop_
_atom_site_label
_atom_site_fract_x
_atom_site_fract_y
_atom_site_fract_z
_atom_site_occupancy
Cr1 0.0000 0.0000 0.0000 1
Cr2 0.0058 0.5000 0.3378 1
Cr3 0.1461 0.1855 0.8574 1
Cr4 0.2300 0.0000 0.6609 1
Ga1 0.0477 0.0000 0.3516 1
Ga2 0.0996 0.2886 0.1552 1
Ga3 0.1518 0.3038 0.5591 1
Ga4 0.2130 0.5000 0.9021 1
```

Top 6 peaks for 2θ from 15° to 90°, sorted by position:
d/Å	intensity	(hkl)
2.173	61.4	1 3 -2
2.129	100.0	0 2 3
2.122	42.0	3 1 2
2.067	86.1	4 2 0
2.052	56.9	3 3 -1
2.033	70.3	4 0 -3

Record 8
CrGa4: calculated powder diffractogram (λ = 1.5418 Å (Cu Kα)), based on a crystal structure in the Materials Project, relaxed with GGA-PBE.
Neutral-atom scattering factors, no anomalous dispersion.

Structural model:
```
data_CrGa4
_cell_length_a 5.6730
_cell_length_b 5.6730
_cell_length_c 5.6730
_cell_angle_alpha 90.00
_cell_angle_beta 90.00
_cell_angle_gamma 90.00
_space_group_name_H-M_alt 'I m -3 m'
_space_group_IT_number 229
_space_group_name_Hall '-I 4 2 3'
loop_
_atom_site_label
_atom_site_fract_x
_atom_site_fract_y
_atom_site_fract_z
_atom_site_occupancy
Cr1 0.0000 0.0000 0.0000 1
Ga1 0.2500 0.2500 0.2500 1
```

Top 6 peaks for 2θ from 15° to 90°, sorted by position:
d/Å	intensity	(hkl)
4.011	17.1	1 1 0
2.837	65.7	2 0 0
2.006	100.0	2 2 0
1.638	16.8	2 2 2
1.269	21.1	4 2 0
1.158	30.9	4 2 2

Record 9
CrGa: calculated powder diffractogram (λ = 1.5418 Å (Cu Kα)), based on a crystal structure in the Materials Project, relaxed with GGA-PBE.
Neutral-atom scattering factors, no anomalous dispersion.

Structural model:
```
data_CrGa
_cell_length_a 12.7124
_cell_length_b 12.7124
_cell_length_c 7.8417
_cell_angle_alpha 90.00
_cell_angle_beta 90.00
_cell_angle_gamma 120.00
_space_group_name_H-M_alt 'R -3 m'
_space_group_IT_number 166
_space_group_name_Hall '-R 3 2"'
loop_
_atom_site_label
_atom_site_fract_x
_atom_site_fract_y
_atom_site_fract_z
_atom_site_occupancy
Cr1 0.0000 0.0000 0.0000 1
Cr2 0.0722 0.1444 0.2509 1
Cr3 0.1042 0.5521 0.2500 1
Ga1 0.0000 0.0000 0.5000 1
Ga2 0.0000 0.3852 0.0000 1
Ga3 0.0991 0.5496 0.5925 1
```

Top 6 peaks for 2θ from 15° to 90°, sorted by position:
d/Å	intensity	(hkl)
2.597	8.1	4 0 1
2.129	53.9	3 0 3
2.121	100.0	3 3 0
1.918	18.5	5 1 1
1.231	8.6	3 0 6
1.225	9.8	3 6 3

Record 10
LiCr4GaS8: calculated powder diffractogram (λ = 1.5418 Å (Cu Kα)), based on a crystal structure in the Materials Project, relaxed with GGA-PBE.
Neutral-atom scattering factors, no anomalous dispersion.

Structural model:
```
data_LiCr4GaS8
_cell_length_a 10.0892
_cell_length_b 10.0892
_cell_length_c 10.0892
_cell_angle_alpha 90.00
_cell_angle_beta 90.00
_cell_angle_gamma 90.00
_space_group_name_H-M_alt 'F -4 3 m'
_space_group_IT_number 216
_space_group_name_Hall 'F -4 2 3'
loop_
_atom_site_label
_atom_site_fract_x
_atom_site_fract_y
_atom_site_fract_z
_atom_site_occupancy
Li1 0.0000 0.0000 0.0000 1
Cr1 0.1291 0.1291 0.6291 1
Ga1 0.2500 0.2500 0.2500 1
S1 0.1152 0.1152 0.3848 1
S2 0.1370 0.1370 0.8630 1
```

Top 6 peaks for 2θ from 15° to 90°, sorted by position:
d/Å	intensity	(hkl)
5.825	53.1	1 1 1
5.045	22.3	2 0 0
3.042	94.8	3 1 1
2.522	82.7	4 0 0
1.942	54.8	5 1 1
1.784	100.0	4 4 0